Diffraction record for Hf6In3As. The powder diffraction line list is theoretical, not measured: it uses DFT lattice parameters and positions (GGA-PBE) and Cu Kα (λ = 1.5418 Å).
Neutral-atom scattering factors, no anomalous dispersion.

Peak list (10 most intense, 10 to 80 degrees two-theta, sorted by position)
- 2θ = 28.88°, I 52, (1 2 -2)
- 2θ = 29.34°, I 36, (2 1 -2)
- 2θ = 32.28°, I 37, (1 0 2)
- 2θ = 33.04°, I 37, (1 0 -4)
- 2θ = 33.32°, I 68, (1 2 1)
- 2θ = 33.83°, I 64, (1 2 -3)
- 2θ = 34.40°, I 31, (1 1 2)
- 2θ = 35.11°, I 100, (2 1 0)
- 2θ = 37.86°, I 76, (1 3 -1)
- 2θ = 39.95°, I 33, (0 0 4)

Crystal structure
Lattice parameters (Å, degrees): 6.6420 7.6345 11.0445 90.00 125.17 90.00
Atoms (fractional coordinates):
Hf (0.0025, 0.0629, 0.2387)
Hf (0.0025, 0.4371, 0.7387)
Hf (0.1676, 0.6789, 0.0593)
Hf (0.1676, 0.8211, 0.5593)
Hf (0.4160, 0.1447, 0.0523)
Hf (0.4160, 0.3553, 0.5523)
Hf (0.5840, 0.6447, 0.4477)
Hf (0.5840, 0.8553, 0.9477)
Hf (0.8324, 0.1789, 0.4407)
Hf (0.8324, 0.3211, 0.9407)
Hf (0.9975, 0.5629, 0.2613)
Hf (0.9975, 0.9371, 0.7613)
In (0.3370, 0.1538, 0.7474)
In (0.3370, 0.3462, 0.2474)
In (0.5000, 0.0000, 0.5000)
In (0.5000, 0.5000, 0.0000)
In (0.6630, 0.6538, 0.7526)
In (0.6630, 0.8462, 0.2526)
As (0.0000, 0.0000, 0.0000)
As (0.0000, 0.5000, 0.5000)